For Ba7Hg2Au2, a PBE-relaxed structure gives the simulated XRD peak list in this record (Cu Ka).

The 10 most intense peaks (2θ = 5–70°), in order of falling intensity:
(1 4 1), 2θ = 28.5°, I 100; (1 2 3), 2θ = 32.2°, I 45; (0 3 3), 2θ = 27.4°, I 28; (1 3 2), 2θ = 29.0°, I 26; (2 0 0), 2θ = 40.1°, I 23; (1 1 2), 2θ = 25.7°, I 23; (0 2 2), 2θ = 18.2°, I 22; (0 6 2), 2θ = 32.5°, I 18; (0 5 1), 2θ = 24.9°, I 13; (0 2 4), 2θ = 32.8°, I 12

Structure:
Cell: 4.4976 18.8451 11.4217 Å, 90.00 90.00 90.00°
Space group Imm2 (No. 44)
Symmetry-distinct sites (fractional):
Ba: 0.0000 0.0000 0.0000 x2
Ba: 0.0000 0.1167 0.3856 x4
Ba: 0.0000 0.3041 0.5864 x4
Ba: 0.0000 0.3688 0.2386 x4
Hg: 0.0000 0.0000 0.6403 x2
Hg: 0.0000 0.5000 0.7307 x2
Au: 0.0000 0.2438 0.8730 x4


For RbAgSe3, a PBE-relaxed structure gives the simulated XRD peak list in this record (Cu Ka).

The 10 most intense peaks (2θ = 5–70°), in order of falling intensity:
(2 0 2), 2θ = 36.8°, I 100; (1 1 3), 2θ = 35.8°, I 97; (1 0 1), 2θ = 18.2°, I 82; (0 1 5), 2θ = 37.5°, I 51; (0 2 1), 2θ = 34.9°, I 33; (0 2 4), 2θ = 43.8°, I 32; (2 2 0), 2θ = 61.3°, I 30; (0 1 2), 2θ = 21.5°, I 29; (1 2 5), 2θ = 57.8°, I 28; (0 3 3), 2θ = 56.6°, I 25

Structure:
Cell: 6.0447 6.0447 13.4809 Å, 90.00 90.00 120.00°
Space group R3m (No. 160, hexagonal axes)
Symmetry-distinct sites (fractional):
Rb: 0.0000 0.0000 0.0000 x3
Ag: 0.0000 0.0000 0.3868 x3
Se: 0.1676 0.3352 0.2192 x9


For TmSnRh3, a PBE-relaxed structure gives the simulated XRD peak list in this record (Cu Ka).

The 10 most intense peaks (2θ = 5–70°), in order of falling intensity:
(1 2 1), 2θ = 30.4°, I 100; (1 2 3), 2θ = 42.0°, I 74; (2 0 2), 2θ = 38.2°, I 64; (0 0 4), 2θ = 40.5°, I 50; (2 2 0), 2θ = 40.3°, I 33; (0 3 1), 2θ = 37.2°, I 31; (2 1 1), 2θ = 35.9°, I 23; (3 2 3), 2θ = 64.2°, I 23; (0 3 3), 2θ = 47.4°, I 22; (2 2 2), 2θ = 45.4°, I 21

Structure:
Cell: 5.5585 7.5365 8.8998 Å, 90.00 90.00 90.00°
Space group Imma (No. 74)
Symmetry-distinct sites (fractional):
Tm: 0.0000 0.2500 0.0168 x4
Sn: 0.0000 0.0000 0.5000 x4
Rh: 0.0000 0.2500 0.7118 x4
Rh: 0.2500 0.0565 0.2500 x8


For TaHPd, a PBE-relaxed structure gives the simulated XRD peak list in this record (Cu Ka).

The 8 most intense peaks (2θ = 5–70°), in order of falling intensity:
(0 1 1), 2θ = 39.9°, I 100; (1 0 0), 2θ = 34.7°, I 28; (0 0 2), 2θ = 38.9°, I 23; (1 1 0), 2θ = 62.1°, I 18; (1 0 2), 2θ = 53.1°, I 18; (0 0 1), 2θ = 19.2°, I 9; (1 1 1), 2θ = 65.7°, I 2; (0 0 3), 2θ = 59.9°, I 1

Structure:
Cell: 2.9881 2.9881 4.6325 Å, 90.00 90.00 120.00°
Space group P3m1 (No. 156)
Symmetry-distinct sites (fractional):
Ta: 0.0000 0.0000 0.0000 x1
H: 0.6667 0.3333 0.7975 x1
Pd: 0.3333 0.6667 0.4749 x1


For HfNi7P2, a PBE-relaxed structure gives the simulated XRD peak list in this record (Cu Ka).

The 10 most intense peaks (2θ = 5–70°), in order of falling intensity:
(1 1 6), 2θ = 45.9°, I 100; (2 0 0), 2θ = 49.0°, I 55; (0 0 2), 2θ = 9.9°, I 48; (1 1 4), 2θ = 39.7°, I 46; (1 1 2), 2θ = 35.6°, I 43; (1 0 3), 2θ = 28.2°, I 32; (0 0 8), 2θ = 40.2°, I 23; (2 0 8), 2θ = 65.1°, I 21; (1 0 1), 2θ = 24.4°, I 10; (0 0 4), 2θ = 19.8°, I 9

Structure:
Cell: 3.7198 3.7198 17.9539 Å, 90.00 90.00 90.00°
Space group I4/mmm (No. 139)
Symmetry-distinct sites (fractional):
Hf: 0.0000 0.0000 0.0000 x2
Ni: 0.0000 0.0000 0.5000 x2
Ni: 0.0000 0.5000 0.1060 x8
Ni: 0.0000 0.5000 0.2500 x4
P: 0.0000 0.0000 0.3227 x4


For Li2HoMg2Tl2, a PBE-relaxed structure gives the simulated XRD peak list in this record (Cu Ka).

The 10 most intense peaks (2θ = 5–70°), in order of falling intensity:
(1 0 4), 2θ = 26.1°, I 100; (1 1 0), 2θ = 37.3°, I 66; (0 0 3), 2θ = 11.1°, I 49; (1 0 7), 2θ = 34.0°, I 45; (0 1 8), 2θ = 37.1°, I 44; (0 1 2), 2θ = 22.6°, I 32; (0 2 4), 2θ = 46.1°, I 22; (2 1 4), 2θ = 60.8°, I 20; (0 1 11), 2θ = 47.3°, I 17; (1 0 1), 2θ = 21.6°, I 16

Structure:
Cell: 4.8175 4.8175 23.8446 Å, 90.00 90.00 120.00°
Space group R-3m (No. 166, hexagonal axes)
Symmetry-distinct sites (fractional):
Li: 0.0000 0.0000 0.0800 x6
Ho: 0.0000 0.0000 0.5000 x3
Mg: 0.0000 0.0000 0.3641 x6
Tl: 0.0000 0.0000 0.2358 x6


For PaB2Ir4, a PBE-relaxed structure gives the simulated XRD peak list in this record (Cu Ka).

The 10 most intense peaks (2θ = 5–70°), in order of falling intensity:
(1 3 1), 2θ = 39.0°, I 100; (2 6 0), 2θ = 64.6°, I 22; (0 6 0), 2θ = 41.6°, I 20; (0 0 2), 2θ = 47.0°, I 15; (2 0 0), 2θ = 47.1°, I 15; (2 0 2), 2θ = 68.8°, I 10; (0 2 1), 2θ = 26.8°, I 9; (0 2 0), 2θ = 13.6°, I 8; (1 1 0), 2θ = 24.1°, I 6; (1 3 0), 2θ = 31.0°, I 5

Structure:
Cell: 3.8567 13.0155 3.8652 Å, 90.00 90.00 90.00°
Space group Cmmm (No. 65)
Symmetry-distinct sites (fractional):
Pa: 0.0000 0.0000 0.0000 x2
B: 0.0000 0.4251 0.5000 x4
Ir: 0.0000 0.1735 0.5000 x4
Ir: 0.0000 0.3358 0.0000 x4


For Na4Pu2O9, a PBE-relaxed structure gives the simulated XRD peak list in this record (Cu Ka).

The 10 most intense peaks (2θ = 5–70°), in order of falling intensity:
(2 0 0), 2θ = 17.8°, I 100; (1 1 -4), 2θ = 29.0°, I 46; (3 1 0), 2θ = 31.0°, I 32; (3 1 6), 2θ = 47.0°, I 23; (1 1 2), 2θ = 21.1°, I 20; (4 2 -4), 2θ = 53.9°, I 18; (4 0 -4), 2θ = 43.0°, I 17; (2 0 6), 2θ = 39.0°, I 16; (0 2 4), 2θ = 38.8°, I 14; (5 1 0), 2θ = 48.2°, I 12

Structure:
Cell: 9.9962 5.7683 15.6273 Å, 90.00 90.04 90.00°
Space group C2/c (No. 15)
Symmetry-distinct sites (fractional):
Na: 0.1665 0.0004 0.0186 x8
Na: 0.1667 0.0006 0.3097 x8
Pu: 0.0001 0.4994 0.6521 x8
O: 0.0000 0.2361 0.2500 x4
O: 0.0139 0.2095 0.9094 x8
O: 0.1321 0.3669 0.7498 x8
O: 0.1379 0.3351 0.4095 x8
O: 0.1519 0.3763 0.0906 x8